# LiCa3Fe5Sn3O16
Computed powder diffractogram, Cu Ka. Input: a structure optimized by DFT (PBE+U).

Structural model:
```
data_LiCa3Fe5Sn3O16
_cell_length_a 9.292
_cell_length_b 3.108
_cell_length_c 11.046
_cell_angle_alpha 90.00
_cell_angle_beta 90.35
_cell_angle_gamma 90.00
_symmetry_space_group_name_H-M 'P 1 m 1'
_symmetry_Int_Tables_number 6
loop_
_symmetry_equiv_pos_as_xyz
'x,y,z'
'x,-y,z'
loop_
_atom_site_label
_atom_site_fract_x
_atom_site_fract_y
_atom_site_fract_z
Li1 0.000 0.000 0.000
Ca1 0.484 0.500 0.702
Ca2 0.500 0.000 0.219
Ca3 0.978 0.500 0.515
Fe1 0.309 0.500 0.480
Fe2 0.317 0.500 0.975
Fe3 0.655 0.000 0.473
Fe4 0.801 0.500 0.748
Fe5 0.812 0.500 0.267
Sn1 0.149 0.000 0.766
Sn2 0.163 0.000 0.253
Sn3 0.685 0.000 0.980
O1 0.020 0.500 0.211
O2 0.113 0.500 0.896
O3 0.160 0.000 0.440
O4 0.220 0.500 0.660
O5 0.257 0.000 0.079
O6 0.320 0.500 0.279
O7 0.355 0.000 0.850
O8 0.449 0.000 0.531
O9 0.532 0.500 0.033
O10 0.622 0.500 0.340
O11 0.649 0.000 0.796
O12 0.716 0.500 0.576
O13 0.754 0.000 0.161
O14 0.829 0.500 0.943
O15 0.853 0.000 0.381
O16 0.951 0.000 0.687
```

Peak list (10 most intense, 2θ = 10–90°, sorted by position)
(1 0 2), 18.7°, d 4.735, I = 28.0
(2 0 0), 19.1°, d 4.646, I = 49.8
(0 0 4), 32.4°, d 2.762, I = 51.7
(3 0 -2), 33.1°, d 2.709, I = 44.8
(3 0 2), 33.3°, d 2.694, I = 47.2
(1 1 2), 34.5°, d 2.600, I = 100.0
(2 1 0), 34.7°, d 2.583, I = 48.5
(2 1 -4), 48.2°, d 1.890, I = 27.2
(2 1 4), 48.3°, d 1.883, I = 26.8
(4 1 0), 49.0°, d 1.861, I = 31.4